This entry pairs a crystal structure of LuZrFeTc with its computed X-ray powder pattern. Radiation: Cu Ka. Structure: a GGA-PBE-relaxed structure.

Structure:
Cell: 4.650 4.650 4.650 Å, 60.00 60.00 60.00°
Fractional positions:
Lu  0.000  0.000  0.000
Zr  0.500  0.500  0.500
Fe  0.250  0.250  0.250
Tc  0.750  0.750  0.750

Main lines, low angle first (2θ = 10–90°):
2θ/deg  I (rel.)
23.4  106
27.1  78
38.7  1000
45.8  58
47.9  24
55.9  168
61.5  25
63.2  32
70.1  336
75.1  19
83.1  106
87.8  21